1.
Computed X-ray powder pattern of PmH6Pt4 for Cu Kα X-rays, from a structure optimized by DFT (PBE).

Structure:
```
data_PmH6Pt4
_cell_length_a 5.1471
_cell_length_b 5.3464
_cell_length_c 5.9521
_cell_angle_alpha 79.23
_cell_angle_beta 64.71
_cell_angle_gamma 64.11
_space_group_name_H-M_alt 'P 1'
_space_group_IT_number 1
_space_group_name_Hall 'P 1'
loop_
_atom_site_label
_atom_site_type_symbol
_atom_site_fract_x
_atom_site_fract_y
_atom_site_fract_z
Pm1 Pm 0.0000 0.0000 0.0000
H1 H 0.1287 0.3725 0.3294
H2 H 0.4518 0.3708 0.6799
H3 H 0.5152 0.6403 0.3337
H4 H 0.5215 0.1644 0.4095
H5 H 0.8480 0.6368 0.6745
H6 H 0.9243 0.1663 0.5890
Pt1 Pt 0.2860 0.4032 0.0033
Pt2 Pt 0.2972 0.0068 0.3784
Pt3 Pt 0.6735 0.0038 0.6269
Pt4 Pt 0.6851 0.6242 0.0036
```

Top 10 peaks for 2θ = 15–90°, by angle:
d [Å]  intensity  h k l
5.382  47  0 0 1
4.810  32  0 1 0
3.586  100  0 1 1
2.693  67  0 0 2
2.570  100  2 1 1
2.405  35  0 2 0
2.203  52  -1 1 1
2.196  52  1 -1 2
2.141  49  1 2 -1
2.134  61  1 2 2

=====

2.
Computed X-ray powder pattern of CaCd5Hg5 for Cu Kα X-rays, from a structure optimized by DFT (PBE).

Structure:
```
data_CaCd5Hg5
_cell_length_a 5.5005
_cell_length_b 7.0494
_cell_length_c 7.8327
_cell_angle_alpha 89.06
_cell_angle_beta 70.79
_cell_angle_gamma 75.76
_space_group_name_H-M_alt 'P -1'
_space_group_IT_number 2
_space_group_name_Hall '-P 1'
loop_
_atom_site_label
_atom_site_type_symbol
_atom_site_fract_x
_atom_site_fract_y
_atom_site_fract_z
Ca1 Ca 0.0000 0.0000 0.0000
Cd1 Cd 0.0000 0.0000 0.5000
Cd2 Cd 0.2795 0.6508 0.6448
Cd3 Cd 0.3296 0.6430 0.1972
Hg1 Hg 0.0000 0.5000 0.0000
Hg2 Hg 0.3105 0.1969 0.6467
Hg3 Hg 0.3652 0.1806 0.1794
```

Top 10 peaks for 2θ = 15–90°, by angle:
d [Å]  intensity  h k l
2.631  91  1 2 2
2.596  88  0 2 -2
2.588  100  1 0 -2
2.577  30  1 0 3
2.536  90  1 -2 0
2.503  69  2 0 2
2.324  61  2 2 0
1.957  31  1 0 4
1.755  24  1 4 0
1.507  30  0 4 2

=====

3.
Computed X-ray powder pattern of Th3Cd4Hg4 for Cu Kα X-rays, from a structure optimized by DFT (PBE).

Structure:
```
data_Th3Cd4Hg4
_cell_length_a 32.0585
_cell_length_b 3.4208
_cell_length_c 5.0806
_cell_angle_alpha 90.00
_cell_angle_beta 99.04
_cell_angle_gamma 90.00
_space_group_name_H-M_alt 'C 1 2/m 1'
_space_group_IT_number 12
_space_group_name_Hall '-C 2y'
loop_
_atom_site_label
_atom_site_type_symbol
_atom_site_fract_x
_atom_site_fract_y
_atom_site_fract_z
Th1 Th 0.0000 0.0000 0.0000
Th2 Th 0.1399 0.0000 0.6385
Cd1 Cd 0.0926 0.5000 0.0917
Cd2 Cd 0.2348 0.5000 0.7340
Hg1 Hg 0.0472 0.5000 0.5468
Hg2 Hg 0.1847 0.5000 0.1834
```

Top 10 peaks for 2θ = 15–90°, by angle:
d [Å]  intensity  h k l
2.793  27  3 1 -1
2.728  56  7 1 0
2.671  96  3 1 1
2.540  55  2 0 -2
2.504  100  10 0 1
1.859  37  9 1 -2
1.460  20  8 0 3
1.419  18  2 2 -2
1.412  34  10 2 1
1.110  18  8 2 3

=====

4.
Computed X-ray powder pattern of BaSr2Mo for Cu Kα X-rays, from a structure optimized by DFT (PBE).

Structure:
```
data_BaSr2Mo
_cell_length_a 3.9935
_cell_length_b 3.9935
_cell_length_c 36.0384
_cell_angle_alpha 90.00
_cell_angle_beta 90.00
_cell_angle_gamma 120.00
_space_group_name_H-M_alt 'R -3 m'
_space_group_IT_number 166
_space_group_name_Hall '-R 3 2"'
loop_
_atom_site_label
_atom_site_type_symbol
_atom_site_fract_x
_atom_site_fract_y
_atom_site_fract_z
Ba1 Ba 0.0000 0.0000 0.0000
Sr1 Sr 0.0000 0.0000 0.2298
Mo1 Mo 0.0000 0.0000 0.5000
```

Top 10 peaks for 2θ = 15–90°, by angle:
d [Å]  intensity  h k l
4.004  14  0 0 9
3.229  100  1 0 4
3.118  12  0 1 5
2.743  46  0 1 8
2.065  13  0 1 14
1.997  28  1 1 0
1.698  15  0 2 4
1.663  11  1 1 12
1.414  13  1 1 18
1.294  12  2 1 4

=====

5.
Computed X-ray powder pattern of TaTl2CuS4 for Cu Kα X-rays, from a structure optimized by DFT (PBE).

Structure:
```
data_TaTl2CuS4
_cell_length_a 5.6033
_cell_length_b 13.5898
_cell_length_c 23.0790
_cell_angle_alpha 90.00
_cell_angle_beta 90.00
_cell_angle_gamma 90.00
_space_group_name_H-M_alt 'F d d d'
_space_group_IT_number 70
loop_
_space_group_symop_operation_xyz
'x,y,z'
'-x,-y,-z'
'-x+1/4,-y+1/4,z'
'x+1/4,y+1/4,-z'
'x,-y+1/4,-z+1/4'
'-x,y+1/4,z+1/4'
'-x+1/4,y,-z+1/4'
'x+1/4,-y,z+1/4'
'x,y+1/2,z+1/2'
'-x,-y+1/2,-z+1/2'
'-x+1/4,-y+3/4,z+1/2'
'x+1/4,y+3/4,-z+1/2'
'x,-y+3/4,-z+3/4'
'-x,y+3/4,z+3/4'
'-x+1/4,y+1/2,-z+3/4'
'x+1/4,-y+1/2,z+3/4'
'x+1/2,y,z+1/2'
'-x+1/2,-y,-z+1/2'
'-x+3/4,-y+1/4,z+1/2'
'x+3/4,y+1/4,-z+1/2'
'x+1/2,-y+1/4,-z+3/4'
'-x+1/2,y+1/4,z+3/4'
'-x+3/4,y,-z+3/4'
'x+3/4,-y,z+3/4'
'x+1/2,y+1/2,z'
'-x+1/2,-y+1/2,-z'
'-x+3/4,-y+3/4,z'
'x+3/4,y+3/4,-z'
'x+1/2,-y+3/4,-z+1/4'
'-x+1/2,y+3/4,z+1/4'
'-x+3/4,y+1/2,-z+1/4'
'x+3/4,-y+1/2,z+1/4'
loop_
_atom_site_label
_atom_site_type_symbol
_atom_site_fract_x
_atom_site_fract_y
_atom_site_fract_z
Ta1 Ta 0.1250 0.1250 0.1250
Tl1 Tl 0.1250 0.1250 0.2995
Cu1 Cu 0.1250 0.1250 0.6250
S1 S 0.1154 0.2786 0.4320
```

Top 10 peaks for 2θ = 15–90°, by angle:
d [Å]  intensity  h k l
5.054  53  1 1 1
3.482  34  1 3 1
3.397  42  0 4 0
3.347  100  0 2 6
3.203  40  1 3 3
2.800  46  1 3 5
2.590  51  2 2 0
2.265  47  2 0 6
1.952  29  0 6 6
1.884  37  2 4 6